Starting from a crystal structure in Alexandria, relaxed with GGA-PBE, the powder diffractogram of Ac6La2Dy3 was calculated for Cu Ka.
Lines closer than 0.1° are merged.

Atomic structure:
Lattice parameters (Å, degrees): 6.633 11.463 12.257 90.00 100.01 90.00
Space group C2/m (No. 12)
Unique sites:
Ac 0.246 0.000 0.249 (multiplicity 4)
Ac 0.246 0.334 0.246 (multiplicity 8)
La 0.000 0.331 0.500 (multiplicity 4)
Dy 0.000 0.166 0.000 (multiplicity 4)
Dy 0.000 0.500 0.000 (multiplicity 2)

Main lines, low angle first (10° ≤ 2θ ≤ 90°):
2θ (°)  I (rel.)
14.68  11.3
28.70  100.0
29.60  30.8
33.39  22.5
33.59  44.8
47.52  17.1
48.66  15.8
56.55  10.3
57.06  10.0
79.51  11.5



Starting from a crystal structure in Alexandria, relaxed with GGA-PBE, the powder diffractogram of Cs6Ag was calculated for Cu Ka.
Lines closer than 0.1° are merged.

Atomic structure:
Lattice parameters (Å, degrees): 9.3599 9.3599 8.9671 90.00 90.00 120.00
Space group P-31m (No. 162)
Unique sites:
Cs 0.0000 0.3265 0.2549 (multiplicity 6)
Ag 0.0000 0.0000 0.5000 (multiplicity 1)

Main lines, low angle first (10° ≤ 2θ ≤ 90°):
2θ (°)  I (rel.)
19.80  19.1
21.42  100.0
27.55  29.2
33.16  27.9
35.64  27.3
38.92  19.7
39.81  19.4
52.75  16.8
53.08  14.1
60.85  11.2



Starting from a crystal structure in Alexandria, relaxed with GGA-PBE, the powder diffractogram of Li3NiN2 was calculated for Cu Ka.
Lines closer than 0.1° are merged.

Atomic structure:
Lattice parameters (Å, degrees): 7.133 7.133 10.625 90.00 90.00 90.00
Space group I4_1/amd (No. 141, origin choice 2)
Unique sites:
Li 0.000 0.250 0.257 (multiplicity 8)
Li 0.226 0.024 0.875 (multiplicity 16)
Ni 0.000 0.250 0.020 (multiplicity 8)
N 0.000 0.013 0.723 (multiplicity 16)

Main lines, low angle first (10° ≤ 2θ ≤ 90°):
2θ (°)  I (rel.)
14.96  100.0
24.97  86.5
28.13  76.8
29.23  49.2
33.74  28.7
35.60  25.8
37.96  39.5
42.43  57.2
51.23  31.7
68.64  23.5



What did the second record say?
Starting from a crystal structure in Alexandria, relaxed with GGA-PBE, the powder diffractogram of Cs6Ag was calculated for Cu Ka.
Lines closer than 0.1° are merged.

Atomic structure:
Lattice parameters (Å, degrees): 9.3599 9.3599 8.9671 90.00 90.00 120.00
Space group P-31m (No. 162)
Unique sites:
Cs 0.0000 0.3265 0.2549 (multiplicity 6)
Ag 0.0000 0.0000 0.5000 (multiplicity 1)

Main lines, low angle first (10° ≤ 2θ ≤ 90°):
2θ (°)  I (rel.)
19.80  19.1
21.42  100.0
27.55  29.2
33.16  27.9
35.64  27.3
38.92  19.7
39.81  19.4
52.75  16.8
53.08  14.1
60.85  11.2



Please write out number 1 again, unchanged.
Starting from a crystal structure in Alexandria, relaxed with GGA-PBE, the powder diffractogram of Ac6La2Dy3 was calculated for Cu Ka.
Lines closer than 0.1° are merged.

Atomic structure:
Lattice parameters (Å, degrees): 6.633 11.463 12.257 90.00 100.01 90.00
Space group C2/m (No. 12)
Unique sites:
Ac 0.246 0.000 0.249 (multiplicity 4)
Ac 0.246 0.334 0.246 (multiplicity 8)
La 0.000 0.331 0.500 (multiplicity 4)
Dy 0.000 0.166 0.000 (multiplicity 4)
Dy 0.000 0.500 0.000 (multiplicity 2)

Main lines, low angle first (10° ≤ 2θ ≤ 90°):
2θ (°)  I (rel.)
14.68  11.3
28.70  100.0
29.60  30.8
33.39  22.5
33.59  44.8
47.52  17.1
48.66  15.8
56.55  10.3
57.06  10.0
79.51  11.5